Computed XRD peak list
Compound: Ac2TlIrAu
Radiation: Cu Ka
Structure: a cell relaxed with PBE

Crystal structure
a = 8.321 Å, b = 4.423 Å, c = 8.666 Å
α = 90.00°, β = 114.80°, γ = 90.00°
Element x y z (fractional)
1 Ac 0.023 0.250 0.218
2 Ac 0.357 0.750 0.621
3 Ac 0.643 0.250 0.379
4 Ac 0.977 0.750 0.782
5 Tl 0.343 0.250 0.955
6 Tl 0.657 0.750 0.045
7 Ir 0.094 0.250 0.605
8 Ir 0.906 0.750 0.395
9 Au 0.310 0.750 0.214
10 Au 0.690 0.250 0.786

The 6 most intense peaks (2θ = 10–90°), in order of rising 2θ:
29.5°, 3.027 Å, intensity 1000, (2 1 -1); 31.1°, 2.877 Å, intensity 696, (1 0 -3); 32.2°, 2.780 Å, intensity 538, (2 1 -2); 35.7°, 2.518 Å, intensity 323, (3 0 0); 36.1°, 2.488 Å, intensity 665, (1 1 2); 40.8°, 2.211 Å, intensity 484, (0 2 0)